Structure and calculated powder diffractogram of Ca2GePPd6 (a crystal structure in Alexandria, relaxed with PBE; Cu Kα, 1.54184 Å).
Neutral-atom scattering factors, no anomalous dispersion.

Peak list (10 most intense, 15 to 90 degrees two-theta, by angle)
- 19.3 deg, d 4.599, I = 433, hkl 1 0 1
- 20.2 deg, d 4.402, I = 369, hkl 0 2 0
- 30.7 deg, d 2.916, I = 703, hkl 0 2 2
- 34.5 deg, d 2.596, I = 416, hkl 1 2 2
- 37.6 deg, d 2.392, I = 1000, hkl 2 2 0
- 39.2 deg, d 2.299, I = 821, hkl 2 0 2
- 41.0 deg, d 2.201, I = 691, hkl 0 4 0
- 44.5 deg, d 2.038, I = 581, hkl 2 2 2
- 51.3 deg, d 1.780, I = 359, hkl 0 2 4
- 58.0 deg, d 1.590, I = 589, hkl 2 4 2

a = 5.6993 Å, b = 8.8033 Å, c = 7.7865 Å
α = 90.00°, β = 90.00°, γ = 90.00°
Positions (direct):
Ca: 0.2500 0.0174 0.2293
Ca: 0.2500 0.4826 0.2293
Ca: 0.7500 0.5174 0.7707
Ca: 0.7500 0.9826 0.7707
Ge: 0.2500 0.7500 0.7740
Ge: 0.7500 0.2500 0.2260
P: 0.2500 0.2500 0.7368
P: 0.7500 0.7500 0.2632
Pd: 0.0061 0.7500 0.0357
Pd: 0.0071 0.7500 0.4992
Pd: 0.2500 0.0016 0.6274
Pd: 0.2500 0.4984 0.6274
Pd: 0.4929 0.7500 0.4992
Pd: 0.4939 0.7500 0.0357
Pd: 0.5061 0.2500 0.9643
Pd: 0.5071 0.2500 0.5008
Pd: 0.7500 0.5016 0.3726
Pd: 0.7500 0.9984 0.3726
Pd: 0.9929 0.2500 0.5008
Pd: 0.9939 0.2500 0.9643